Dy3YHo7: simulated powder X-ray diffraction pattern (Cu Kα X-rays), based on a structure optimized by DFT (GGA-PBE).
Peak positions follow from Bragg's law for the DFT cell and can differ from measured ones.

Crystal structure
```
data_Dy3YHo7
_chemical_formula_sum 'Dy3 Y1 Ho7'
_space_group_name_H-M_alt 'P 1'
_space_group_IT_number 1
_space_group_name_Hall 'P 1'
_cell_length_a 6.9468
_cell_length_b 5.4945
_cell_length_c 9.8460
_cell_angle_alpha 90.00
_cell_angle_beta 110.18
_cell_angle_gamma 90.00
loop_
_atom_site_label
_atom_site_type_symbol
_atom_site_fract_x
_atom_site_fract_y
_atom_site_fract_z
Dy1 Dy 0.0000 0.0000 0.0000
Dy2 Dy 0.2199 0.5000 0.5016
Dy3 Dy 0.7801 0.5000 0.4984
Y1 Y 0.5000 0.0000 0.0000
Ho1 Ho 0.0811 0.0000 0.6695
Ho2 Ho 0.1790 0.5000 0.8589
Ho3 Ho 0.3531 0.5000 0.2096
Ho4 Ho 0.5000 0.0000 0.5000
Ho5 Ho 0.6469 0.5000 0.7904
Ho6 Ho 0.8210 0.5000 0.1411
Ho7 Ho 0.9189 0.0000 0.3305
```

Most intense lines, 5° ≤ 2θ ≤ 70°, in order of rising 2θ:
hkl, Position (°2θ), d_spacing, I/Imax
1 1 2, 31.81, 2.813, 250
2 1 0, 31.94, 2.802, 1000
2 1 -2, 32.07, 2.791, 760
2 0 -3, 32.37, 2.765, 185
0 2 0, 32.59, 2.747, 630
0 1 3, 33.35, 2.687, 630
4 0 -2, 52.73, 1.736, 203
2 3 0, 57.72, 1.597, 168
2 3 -2, 57.80, 1.595, 179
4 2 -2, 63.36, 1.468, 168